[1]
Starting from a structure optimized by DFT (GGA-PBE), the powder diffraction line list of CeSm10Er6 was computed for copper Kα.

Structure:
a b c (Å): 9.7368 9.7368 6.8581
angles (deg): 90.00 90.00 120.00
Space group P-31m (No. 162)
Inequivalent atoms, fractional coordinates:
Ce: 0.0000 0.0000 0.0000 [1 per cell]
Sm: 0.0000 0.2743 0.3162 [6 per cell]
Sm: 0.3333 0.6667 0.0000 [2 per cell]
Sm: 0.3333 0.6667 0.5000 [2 per cell]
Er: 0.0000 0.3723 0.8079 [6 per cell]

Most intense lines, 15 to 90 degrees two-theta, most intense first:
hkl 1 1 2, 31.89°, d 2.807, I 100
hkl 3 -1 1, 30.94°, d 2.890, I 24
hkl 4 -2 2, 45.71°, d 1.985, I 14
hkl 4 1 2, 56.77°, d 1.622, I 13
hkl 2 -1 4, 56.94°, d 1.617, I 10
hkl 3 2 1, 48.92°, d 1.862, I 7
hkl 6 -1 1, 62.84°, d 1.479, I 6
hkl 4 -1 1, 40.76°, d 2.214, I 6
hkl 6 -2 1, 59.56°, d 1.552, I 5
hkl 2 0 1, 24.79°, d 3.592, I 5
hkl 4 -1 3, 56.27°, d 1.635, I 5
hkl 4 0 3, 59.66°, d 1.550, I 5

[2]
Starting from a structure optimized by DFT (GGA-PBE), the powder diffraction line list of TbCeSm2Er was computed for copper Kα.

Structure:
a b c (Å): 5.947 7.221 7.609
angles (deg): 90.00 90.00 90.00
Space group Pmma (No. 51)
Inequivalent atoms, fractional coordinates:
Tb: 0.250 0.000 0.125 [2 per cell]
Ce: 0.000 0.000 0.500 [2 per cell]
Sm: 0.250 0.284 0.819 [4 per cell]
Er: 0.250 0.500 0.359 [2 per cell]

Most intense lines, 15 to 90 degrees two-theta, most intense first:
hkl 1 2 1, 31.28°, d 2.860, I 100
hkl 1 1 2, 30.52°, d 2.929, I 61
hkl 2 1 1, 34.69°, d 2.586, I 35
hkl 2 0 0, 30.05°, d 2.973, I 27
hkl 0 1 3, 37.56°, d 2.395, I 25
hkl 3 2 1, 54.14°, d 1.694, I 21
hkl 2 3 1, 50.22°, d 1.817, I 21
hkl 0 2 1, 27.34°, d 3.262, I 18
hkl 2 2 3, 53.87°, d 1.702, I 18
hkl 0 3 3, 52.41°, d 1.746, I 16
hkl 2 0 2, 38.42°, d 2.343, I 16
hkl 1 0 2, 27.84°, d 3.205, I 16

Question: What is the formula in the second record?
Answer: TbCeSm2Er

Question: What is the formula in the second record?
Answer: TbCeSm2Er